# 1
Calculated PXRD pattern of InPt4Se8 for a wavelength of 1.5418 Å, from a DFT-relaxed cell (PBE, Alexandria).
Intensities are scaled so that the largest is 100.

Atomic structure:
Lattice parameters (Å, degrees): 10.902 10.902 10.902 90.00 90.00 90.00
Space group F-43m (No. 216)
Asymmetric unit:
In 0.000 0.000 0.000 [4 per cell]
Pt 0.120 0.120 0.380 [16 per cell]
Se 0.112 0.112 0.612 [16 per cell]
Se 0.143 0.143 0.143 [16 per cell]

Main lines, in order of falling intensity (2θ from 5° to 70°):
- 2θ = 14.1°, I = 100
- 2θ = 32.9°, I = 95
- 2θ = 47.2°, I = 91
- 2θ = 27.1°, I = 78
- 2θ = 43.1°, I = 59
- 2θ = 49.5°, I = 23
- 2θ = 58.7°, I = 21
- 2θ = 65.8°, I = 17


# 2
Calculated PXRD pattern of AcZn4Pt4 for a wavelength of 1.5418 Å, from a DFT-relaxed cell (PBE, Alexandria).
Intensities are scaled so that the largest is 100.

Atomic structure:
Lattice parameters (Å, degrees): 6.039 6.039 9.002 90.00 90.00 90.00
Space group P4_2/nmc (No. 137, origin choice 2)
Asymmetric unit:
Ac 0.250 0.750 0.250 [2 per cell]
Zn 0.026 0.250 0.158 [8 per cell]
Pt 0.028 0.250 0.449 [8 per cell]

Main lines, in order of falling intensity (2θ from 5° to 70°):
- 2θ = 34.7°, I = 100
- 2θ = 31.2°, I = 83
- 2θ = 33.3°, I = 58
- 2θ = 42.5°, I = 58
- 2θ = 47.1°, I = 43
- 2θ = 42.9°, I = 36
- 2θ = 42.3°, I = 36
- 2θ = 28.8°, I = 32


# 3
Calculated PXRD pattern of Dy2Si4Ni3Os for a wavelength of 1.5418 Å, from a DFT-relaxed cell (PBE, Alexandria).
Intensities are scaled so that the largest is 100.

Atomic structure:
Lattice parameters (Å, degrees): 3.977 3.977 9.680 90.00 90.00 90.00
Space group P-4m2 (No. 115)
Asymmetric unit:
Dy 0.000 0.500 0.241 [2 per cell]
Si 0.000 0.000 0.000 [1 per cell]
Si 0.000 0.500 0.636 [2 per cell]
Si 0.500 0.500 0.000 [1 per cell]
Ni 0.000 0.500 0.876 [2 per cell]
Ni 0.500 0.500 0.500 [1 per cell]
Os 0.000 0.000 0.500 [1 per cell]

Main lines, in order of falling intensity (2θ from 5° to 70°):
- 2θ = 37.0°, I = 100
- 2θ = 35.8°, I = 57
- 2θ = 45.6°, I = 45
- 2θ = 24.2°, I = 35
- 2θ = 59.3°, I = 26
- 2θ = 33.2°, I = 24
- 2θ = 9.1°, I = 22
- 2θ = 52.6°, I = 19


# 4
Calculated PXRD pattern of HoAl4Pd2Au for a wavelength of 1.5418 Å, from a DFT-relaxed cell (PBE, Alexandria).
Intensities are scaled so that the largest is 100.

Atomic structure:
Lattice parameters (Å, degrees): 4.3024 4.3024 26.5796 90.00 90.00 120.00
Space group R-3m (No. 166, hexagonal axes)
Asymmetric unit:
Ho 0.0000 0.0000 0.0000 [3 per cell]
Al 0.0000 0.0000 0.1255 [6 per cell]
Al 0.0000 0.0000 0.3997 [6 per cell]
Pd 0.0000 0.0000 0.2475 [6 per cell]
Au 0.0000 0.0000 0.5000 [3 per cell]

Main lines, in order of falling intensity (2θ from 5° to 70°):
- 2θ = 27.4°, I = 100
- 2θ = 36.2°, I = 89
- 2θ = 42.0°, I = 66
- 2θ = 59.9°, I = 28
- 2θ = 56.6°, I = 24
- 2θ = 50.9°, I = 19
- 2θ = 61.1°, I = 16
- 2θ = 68.1°, I = 16


# 5
Calculated PXRD pattern of LaNd2Ho5 for a wavelength of 1.5418 Å, from a DFT-relaxed cell (PBE, Alexandria).
Intensities are scaled so that the largest is 100.

Atomic structure:
Lattice parameters (Å, degrees): 7.176 14.373 5.089 90.00 90.00 90.00
Space group Pbam (No. 55)
Asymmetric unit:
La 0.000 0.000 0.000 [2 per cell]
Nd 0.246 0.374 0.500 [4 per cell]
Ho 0.000 0.500 0.000 [2 per cell]
Ho 0.004 0.748 0.000 [4 per cell]
Ho 0.248 0.126 0.500 [4 per cell]

Main lines, in order of falling intensity (2θ from 5° to 70°):
- 2θ = 30.5°, I = 100
- 2θ = 35.3°, I = 51
- 2θ = 50.8°, I = 30
- 2θ = 60.4°, I = 29
- 2θ = 60.5°, I = 14
- 2θ = 63.4°, I = 12
- 2θ = 50.9°, I = 6


# 6
Calculated PXRD pattern of Tb7Y2Er4 for a wavelength of 1.5418 Å, from a DFT-relaxed cell (PBE, Alexandria).
Intensities are scaled so that the largest is 100.

Atomic structure:
Lattice parameters (Å, degrees): 6.0728 6.0728 13.1410 90.00 90.00 120.00
Space group P-31m (No. 162)
Asymmetric unit:
Tb 0.0000 0.0000 0.0000 [1 per cell]
Tb 0.0000 0.3603 0.2190 [6 per cell]
Y 0.3333 0.6667 0.0000 [2 per cell]
Er 0.0000 0.0000 0.3935 [2 per cell]
Er 0.3333 0.6667 0.5000 [2 per cell]

Main lines, in order of falling intensity (2θ from 5° to 70°):
- 2θ = 32.5°, I = 100
- 2θ = 30.2°, I = 60
- 2θ = 52.2°, I = 31
- 2θ = 36.0°, I = 31
- 2θ = 26.5°, I = 20
- 2θ = 27.1°, I = 20
- 2θ = 34.1°, I = 18
- 2θ = 51.4°, I = 18


# 7
Calculated PXRD pattern of MgIn3Pb for a wavelength of 1.5418 Å, from a DFT-relaxed cell (PBE, Alexandria).
Intensities are scaled so that the largest is 100.

Atomic structure:
Lattice parameters (Å, degrees): 7.1703 7.1703 3.2469 90.00 90.00 120.00
Space group P-6m2 (No. 187)
Asymmetric unit:
Mg 0.0000 0.0000 0.0000 [1 per cell]
In 0.3884 0.1942 0.5000 [3 per cell]
Pb 0.3333 0.6667 0.0000 [1 per cell]

Main lines, in order of falling intensity (2θ from 5° to 70°):
- 2θ = 28.8°, I = 100
- 2θ = 31.1°, I = 70
- 2θ = 37.4°, I = 40
- 2θ = 47.8°, I = 40
- 2θ = 52.4°, I = 28
- 2θ = 64.8°, I = 20
- 2θ = 50.9°, I = 18
- 2θ = 14.3°, I = 15


# 8
Calculated PXRD pattern of HoGa3Ge for a wavelength of 1.5418 Å, from a DFT-relaxed cell (PBE, Alexandria).
Intensities are scaled so that the largest is 100.

Atomic structure:
Lattice parameters (Å, degrees): 9.464 2.965 7.964 90.00 90.00 90.00
Space group Pmma (No. 51)
Asymmetric unit:
Ho 0.250 0.000 0.165 [2 per cell]
Ga 0.000 0.500 0.000 [2 per cell]
Ga 0.000 0.500 0.340 [4 per cell]
Ge 0.250 0.500 0.807 [2 per cell]

Main lines, in order of falling intensity (2θ from 5° to 70°):
- 2θ = 38.9°, I = 100
- 2θ = 33.6°, I = 66
- 2θ = 35.7°, I = 60
- 2θ = 38.0°, I = 56
- 2θ = 11.1°, I = 54
- 2θ = 39.1°, I = 36
- 2θ = 43.4°, I = 33
- 2θ = 45.9°, I = 31